No. 1
Calculated XRD peak list
Compound: TaH2Cl5
Radiation: Cu Kα
Structure: a crystal structure in Alexandria, relaxed with PBE
Intensities are scaled so that the largest is 100.

Peak list (10 most intense, 10° ≤ 2θ ≤ 80°, low angle first)
two_theta  I (rel.)  index
14.1  41  0 0 1
14.5  46  1 -1 0
16.1  100  1 0 0
20.3  11  1 -1 1
26.3  22  -2 1 1
28.5  12  0 0 2
29.2  16  2 0 -1
38.8  15  1 0 2
39.6  10  2 1 -2
45.0  10  0 3 -2

Structure:
```
data_TaH2Cl5
_cell_length_a 7.041
_cell_length_b 7.056
_cell_length_c 7.187
_cell_angle_alpha 104.33
_cell_angle_beta 104.19
_cell_angle_gamma 119.71
_space_group_name_H-M_alt 'P 1'
_space_group_IT_number 1
loop_
_space_group_symop_operation_xyz
'x,y,z'
loop_
_atom_site_label
_atom_site_type_symbol
_atom_site_fract_x
_atom_site_fract_y
_atom_site_fract_z
_atom_site_occupancy
Ta1 Ta 0.000 0.000 0.000 1
H1 H 0.223 0.725 0.495 1
H2 H 0.727 0.230 0.503 1
Cl1 Cl 0.188 0.188 0.372 1
Cl2 Cl 0.322 0.997 0.999 1
Cl3 Cl 0.678 0.679 0.001 1
Cl4 Cl 0.814 0.815 0.628 1
Cl5 Cl 0.998 0.322 0.000 1
```

---

No. 2
Calculated XRD peak list
Compound: TbH2Cl3
Radiation: Cu Kα
Structure: a crystal structure in Alexandria, relaxed with PBE
Intensities are scaled so that the largest is 100.

Peak list (10 most intense, 10° ≤ 2θ ≤ 80°, low angle first)
two_theta  I (rel.)  index
11.7  100  0 0 1
16.7  42  1 0 0
20.1  13  1 0 -1
25.2  29  0 2 1
32.6  31  0 2 2
33.8  14  2 0 0
35.4  13  2 0 -1
36.4  17  1 2 -2
37.3  11  1 2 2
42.3  18  0 2 3

Structure:
```
data_TbH2Cl3
_cell_length_a 5.310
_cell_length_b 7.980
_cell_length_c 7.592
_cell_angle_alpha 90.00
_cell_angle_beta 92.20
_cell_angle_gamma 90.00
_space_group_name_H-M_alt 'P 1 21/m 1'
_space_group_IT_number 11
loop_
_space_group_symop_operation_xyz
'x,y,z'
'-x,-y,-z'
'-x,y+1/2,-z'
'x,-y+1/2,z'
loop_
_atom_site_label
_atom_site_type_symbol
_atom_site_fract_x
_atom_site_fract_y
_atom_site_fract_z
_atom_site_occupancy
Tb1 Tb 0.000 0.250 0.001 1
H1 H 0.445 0.250 0.534 1
H2 H 0.450 0.750 0.530 1
Cl1 Cl 0.011 0.501 0.234 1
Cl2 Cl 0.500 0.250 0.001 1
```

---

No. 3
Calculated XRD peak list
Compound: TiH2Cl
Radiation: Cu Kα
Structure: a crystal structure in Alexandria, relaxed with PBE
Intensities are scaled so that the largest is 100.

Peak list (10 most intense, 10° ≤ 2θ ≤ 80°, low angle first)
two_theta  I (rel.)  index
24.9  4  1 0 1
28.1  51  0 0 4
37.0  100  1 1 2
48.9  20  2 0 0
55.8  27  1 1 6
57.4  24  2 0 4
58.2  6  0 0 8
71.7  6  2 2 0
78.7  9  2 2 4
79.4  9  2 0 8

Structure:
```
data_TiH2Cl
_cell_length_a 3.723
_cell_length_b 3.723
_cell_length_c 12.684
_cell_angle_alpha 90.00
_cell_angle_beta 90.00
_cell_angle_gamma 90.00
_space_group_name_H-M_alt 'I 41/a m d'
_space_group_IT_number 141
loop_
_space_group_symop_operation_xyz
'x,y,z'
'-x,-y,-z'
'-y+1/4,x+3/4,z+1/4'
'y+1/4,-x+3/4,-z+1/4'
'-x+1/2,-y,z+1/2'
'x+1/2,y,-z+1/2'
'y+1/4,-x+1/4,z+3/4'
'-y+1/4,x+1/4,-z+3/4'
'x,-y,-z'
'-x,y,z'
'-y+1/4,-x+1/4,-z+3/4'
'y+1/4,x+1/4,z+3/4'
'-x+1/2,y,-z+1/2'
'x+1/2,-y,z+1/2'
'y+1/4,x+3/4,-z+1/4'
'-y+1/4,-x+3/4,z+1/4'
'x+1/2,y+1/2,z+1/2'
'-x+1/2,-y+1/2,-z+1/2'
'-y+3/4,x+1/4,z+3/4'
'y+3/4,-x+1/4,-z+3/4'
'-x,-y+1/2,z'
'x,y+1/2,-z'
'y+3/4,-x+3/4,z+1/4'
'-y+3/4,x+3/4,-z+1/4'
'x+1/2,-y+1/2,-z+1/2'
'-x+1/2,y+1/2,z+1/2'
'-y+3/4,-x+3/4,-z+1/4'
'y+3/4,x+3/4,z+1/4'
'-x,y+1/2,-z'
'x,-y+1/2,z'
'y+3/4,x+1/4,-z+3/4'
'-y+3/4,-x+1/4,z+3/4'
loop_
_atom_site_label
_atom_site_type_symbol
_atom_site_fract_x
_atom_site_fract_y
_atom_site_fract_z
_atom_site_occupancy
Ti1 Ti 0.000 0.250 0.375 1
H1 H 0.000 0.000 0.500 1
Cl1 Cl 0.000 0.250 0.875 1
```

---

No. 4
Calculated XRD peak list
Compound: TiHCl2
Radiation: Cu Kα
Structure: a crystal structure in Alexandria, relaxed with PBE
Intensities are scaled so that the largest is 100.

Peak list (10 most intense, 10° ≤ 2θ ≤ 80°, low angle first)
two_theta  I (rel.)  index
12.5  100  0 0 1
31.3  34  1 1 0
35.3  24  1 1 1
35.5  13  2 0 -2
37.5  18  2 0 1
37.8  36  1 1 -2
43.2  26  1 1 2
43.5  12  2 0 -3
46.6  13  1 1 -3
55.1  26  0 2 0

Structure:
```
data_TiHCl2
_cell_length_a 5.778
_cell_length_b 3.335
_cell_length_c 7.304
_cell_angle_alpha 90.00
_cell_angle_beta 104.71
_cell_angle_gamma 90.00
_space_group_name_H-M_alt 'C 1 m 1'
_space_group_IT_number 8
loop_
_space_group_symop_operation_xyz
'x,y,z'
'x,-y,z'
'x+1/2,y+1/2,z'
'x+1/2,-y+1/2,z'
loop_
_atom_site_label
_atom_site_type_symbol
_atom_site_fract_x
_atom_site_fract_y
_atom_site_fract_z
_atom_site_occupancy
Ti1 Ti 0.000 0.000 0.000 1
H1 H 0.333 0.000 0.000 1
Cl1 Cl 0.089 0.500 0.757 1
Cl2 Cl 0.245 0.500 0.243 1
```

---

No. 5
Calculated XRD peak list
Compound: Tl2H2Cl7
Radiation: Cu Kα
Structure: a crystal structure in Alexandria, relaxed with PBE
Intensities are scaled so that the largest is 100.

Peak list (10 most intense, 10° ≤ 2θ ≤ 80°, low angle first)
two_theta  I (rel.)  index
12.6  100  1 1 -1
14.7  79  1 1 1
15.8  100  0 2 0
17.8  72  2 0 0
21.9  74  1 1 -3
23.9  26  2 2 0
27.2  26  3 1 -1
31.5  58  1 3 -3
31.9  34  0 2 4
34.3  26  1 3 3

Structure:
```
data_Tl2H2Cl7
_cell_length_a 10.279
_cell_length_b 11.203
_cell_length_c 13.352
_cell_angle_alpha 90.00
_cell_angle_beta 103.80
_cell_angle_gamma 90.00
_space_group_name_H-M_alt 'C 1 2/c 1'
_space_group_IT_number 15
loop_
_space_group_symop_operation_xyz
'x,y,z'
'-x,-y,-z'
'-x,y,-z+1/2'
'x,-y,z+1/2'
'x+1/2,y+1/2,z'
'-x+1/2,-y+1/2,-z'
'-x+1/2,y+1/2,-z+1/2'
'x+1/2,-y+1/2,z+1/2'
loop_
_atom_site_label
_atom_site_type_symbol
_atom_site_fract_x
_atom_site_fract_y
_atom_site_fract_z
_atom_site_occupancy
Tl1 Tl 0.244 0.234 0.351 1
H1 H 0.093 0.276 0.861 1
Cl1 Cl 0.000 0.296 0.250 1
Cl2 Cl 0.033 0.196 0.910 1
Cl3 Cl 0.199 0.389 0.793 1
Cl4 Cl 0.248 0.413 0.493 1
```

---

No. 6
Calculated XRD peak list
Compound: Tl4H2Cl
Radiation: Cu Kα
Structure: a crystal structure in Alexandria, relaxed with PBE
Intensities are scaled so that the largest is 100.

Peak list (10 most intense, 10° ≤ 2θ ≤ 80°, low angle first)
two_theta  I (rel.)  index
24.9  29  0 0 4
25.3  100  1 1 2
31.3  37  2 0 0
40.4  33  2 0 4
44.2  18  1 1 6
44.9  14  2 2 0
52.0  16  2 2 4
52.2  29  3 1 2
64.8  12  3 1 6
79.7  9  4 2 4

Structure:
```
data_Tl4H2Cl
_cell_length_a 5.716
_cell_length_b 5.716
_cell_length_c 14.285
_cell_angle_alpha 90.00
_cell_angle_beta 90.00
_cell_angle_gamma 90.00
_space_group_name_H-M_alt 'I 4/m m m'
_space_group_IT_number 139
_space_group_name_Hall '-I 4 2'
loop_
_atom_site_label
_atom_site_type_symbol
_atom_site_fract_x
_atom_site_fract_y
_atom_site_fract_z
_atom_site_occupancy
Tl1 Tl 0.000 0.000 0.230 1
Tl2 Tl 0.000 0.500 0.000 1
H1 H 0.000 0.000 0.086 1
Cl1 Cl 0.000 0.000 0.500 1
```

---

No. 7
Calculated XRD peak list
Compound: Tl3H8Cl
Radiation: Cu Kα
Structure: a crystal structure in Alexandria, relaxed with PBE
Intensities are scaled so that the largest is 100.

Peak list (10 most intense, 10° ≤ 2θ ≤ 80°, low angle first)
two_theta  I (rel.)  index
10.7  100  0 0 1
22.0  9  0 2 1
29.0  12  0 2 2
30.3  14  2 0 -1
31.8  9  2 0 0
32.0  9  1 1 2
33.0  18  1 3 0
33.2  26  1 3 -1
36.3  10  1 3 1
36.9  9  1 3 -2

Structure:
```
data_Tl3H8Cl
_cell_length_a 5.902
_cell_length_b 9.301
_cell_length_c 8.623
_cell_angle_alpha 90.00
_cell_angle_beta 107.34
_cell_angle_gamma 90.00
_space_group_name_H-M_alt 'C 1 m 1'
_space_group_IT_number 8
loop_
_space_group_symop_operation_xyz
'x,y,z'
'x,-y,z'
'x+1/2,y+1/2,z'
'x+1/2,-y+1/2,z'
loop_
_atom_site_label
_atom_site_type_symbol
_atom_site_fract_x
_atom_site_fract_y
_atom_site_fract_z
_atom_site_occupancy
Tl1 Tl 0.000 0.000 0.000 1
Tl2 Tl 0.073 0.329 0.168 1
H1 H 0.074 0.000 0.537 1
H2 H 0.308 0.315 0.618 1
H3 H 0.338 0.245 0.663 1
H4 H 0.484 0.500 0.454 1
H5 H 0.489 0.000 0.551 1
H6 H 0.494 0.000 0.465 1
Cl1 Cl 0.437 0.000 0.859 1
```

---

No. 8
Calculated XRD peak list
Compound: Tl4H5Cl
Radiation: Cu Kα
Structure: a crystal structure in Alexandria, relaxed with PBE
Intensities are scaled so that the largest is 100.

Peak list (10 most intense, 10° ≤ 2θ ≤ 80°, low angle first)
two_theta  I (rel.)  index
25.2  99  0 2 1
26.6  100  2 0 1
29.3  70  2 2 0
31.5  17  0 0 2
35.5  14  1 3 1
43.6  33  2 2 2
43.8  16  4 0 0
48.8  24  2 4 1
49.4  17  2 3 2
51.2  28  4 2 1

Structure:
```
data_Tl4H5Cl
_cell_length_a 8.275
_cell_length_b 8.998
_cell_length_c 5.684
_cell_angle_alpha 90.00
_cell_angle_beta 90.00
_cell_angle_gamma 90.00
_space_group_name_H-M_alt 'P m m n'
_space_group_IT_number 59
loop_
_space_group_symop_operation_xyz
'x,y,z'
'-x,-y,-z'
'-x+1/2,-y+1/2,z'
'x+1/2,y+1/2,-z'
'x+1/2,-y,-z'
'-x+1/2,y,z'
'-x,y+1/2,-z'
'x,-y+1/2,z'
loop_
_atom_site_label
_atom_site_type_symbol
_atom_site_fract_x
_atom_site_fract_y
_atom_site_fract_z
_atom_site_occupancy
Tl1 Tl 0.014 0.250 0.052 1
Tl2 Tl 0.250 0.039 0.568 1
H1 H 0.074 0.583 0.780 1
H2 H 0.250 0.250 0.956 1
Cl1 Cl 0.250 0.750 0.287 1
```

---

No. 9
Calculated XRD peak list
Compound: Tl3HCl6
Radiation: Cu Kα
Structure: a crystal structure in Alexandria, relaxed with PBE
Intensities are scaled so that the largest is 100.

Peak list (10 most intense, 10° ≤ 2θ ≤ 80°, low angle first)
two_theta  I (rel.)  index
15.3  42  1 1 1
22.3  100  2 2 1
23.5  14  0 4 0
24.4  16  0 0 2
33.4  12  3 1 2
34.1  18  0 4 2
37.5  12  3 3 2
37.7  13  4 4 0
38.3  14  4 0 2
41.7  21  2 2 3

Structure:
```
data_Tl3HCl6
_cell_length_a 12.293
_cell_length_b 15.171
_cell_length_c 7.293
_cell_angle_alpha 90.00
_cell_angle_beta 90.00
_cell_angle_gamma 90.00
_space_group_name_H-M_alt 'C m c 21'
_space_group_IT_number 36
loop_
_space_group_symop_operation_xyz
'x,y,z'
'-x,-y,z+1/2'
'-x,y,z'
'x,-y,z+1/2'
'x+1/2,y+1/2,z'
'-x+1/2,-y+1/2,z+1/2'
'-x+1/2,y+1/2,z'
'x+1/2,-y+1/2,z+1/2'
loop_
_atom_site_label
_atom_site_type_symbol
_atom_site_fract_x
_atom_site_fract_y
_atom_site_fract_z
_atom_site_occupancy
Tl1 Tl 0.000 0.160 0.000 1
Tl2 Tl 0.219 0.388 0.008 1
H1 H 0.000 0.374 0.518 1
Cl1 Cl 0.000 0.300 0.795 1
Cl2 Cl 0.000 0.441 0.406 1
Cl3 Cl 0.145 0.218 0.228 1
Cl4 Cl 0.146 0.061 0.857 1
```

---

No. 10
Calculated XRD peak list
Compound: TlHCl4
Radiation: Cu Kα
Structure: a crystal structure in Alexandria, relaxed with PBE
Intensities are scaled so that the largest is 100.

Peak list (10 most intense, 10° ≤ 2θ ≤ 80°, low angle first)
two_theta  I (rel.)  index
15.7  100  1 1 0
16.4  62  0 2 1
21.0  18  1 3 0
23.8  49  1 3 -1
31.0  55  1 5 -1
32.5  58  1 1 2
37.3  25  2 4 -1
37.9  18  2 0 -2
39.9  21  2 4 1
45.1  20  0 4 3

Structure:
```
data_TlHCl4
_cell_length_a 5.990
_cell_length_b 18.122
_cell_length_c 6.788
_cell_angle_alpha 90.00
_cell_angle_beta 97.02
_cell_angle_gamma 90.00
_space_group_name_H-M_alt 'C 1 2/c 1'
_space_group_IT_number 15
loop_
_space_group_symop_operation_xyz
'x,y,z'
'-x,-y,-z'
'-x,y,-z+1/2'
'x,-y,z+1/2'
'x+1/2,y+1/2,z'
'-x+1/2,-y+1/2,-z'
'-x+1/2,y+1/2,-z+1/2'
'x+1/2,-y+1/2,z+1/2'
loop_
_atom_site_label
_atom_site_type_symbol
_atom_site_fract_x
_atom_site_fract_y
_atom_site_fract_z
_atom_site_occupancy
Tl1 Tl 0.000 0.055 0.250 1
H1 H 0.000 0.348 0.750 1
Cl1 Cl 0.236 0.342 0.877 1
Cl2 Cl 0.241 0.051 0.595 1
```

---

No. 11
Calculated XRD peak list
Compound: Tl3H2Cl3
Radiation: Cu Kα
Structure: a crystal structure in Alexandria, relaxed with PBE
Intensities are scaled so that the largest is 100.

Peak list (10 most intense, 10° ≤ 2θ ≤ 80°, low angle first)
two_theta  I (rel.)  index
21.5  100  0 1 1
22.7  18  1 0 0
24.9  19  1 0 -1
25.1  25  1 0 1
27.8  53  1 -1 0
30.2  46  0 2 -1
30.9  55  0 0 3
37.7  17  1 1 -3
38.0  20  1 -1 3
43.7  42  0 2 2

Structure:
```
data_Tl3H2Cl3
_cell_length_a 3.911
_cell_length_b 5.927
_cell_length_c 9.173
_cell_angle_alpha 108.82
_cell_angle_beta 90.45
_cell_angle_gamma 90.12
_space_group_name_H-M_alt 'P -1'
_space_group_IT_number 2
loop_
_space_group_symop_operation_xyz
'x,y,z'
'-x,-y,-z'
loop_
_atom_site_label
_atom_site_type_symbol
_atom_site_fract_x
_atom_site_fract_y
_atom_site_fract_z
_atom_site_occupancy
Tl1 Tl 0.000 0.000 0.000 1
Tl2 Tl 0.488 0.333 0.666 1
H1 H 0.012 0.671 0.343 1
Cl1 Cl 0.494 0.848 0.695 1
Cl2 Cl 0.500 0.500 0.000 1
```

---

No. 12
Calculated XRD peak list
Compound: UHCl4
Radiation: Cu Kα
Structure: a crystal structure in Alexandria, relaxed with PBE
Intensities are scaled so that the largest is 100.

Peak list (10 most intense, 10° ≤ 2θ ≤ 80°, low angle first)
two_theta  I (rel.)  index
19.4  100  1 0 1
20.2  55  1 1 0
33.5  39  1 1 2
34.9  67  1 2 1
39.4  32  2 0 2
41.1  19  2 2 0
42.7  21  1 0 3
45.8  19  3 0 1
52.3  14  2 1 3
54.0  20  1 3 2

Structure:
```
data_UHCl4
_cell_length_a 6.213
_cell_length_b 6.213
_cell_length_c 6.757
_cell_angle_alpha 90.00
_cell_angle_beta 90.00
_cell_angle_gamma 90.00
_space_group_name_H-M_alt 'I -4'
_space_group_IT_number 82
loop_
_space_group_symop_operation_xyz
'x,y,z'
'y,-x,-z'
'-x,-y,z'
'-y,x,-z'
'x+1/2,y+1/2,z+1/2'
'y+1/2,-x+1/2,-z+1/2'
'-x+1/2,-y+1/2,z+1/2'
'-y+1/2,x+1/2,-z+1/2'
loop_
_atom_site_label
_atom_site_type_symbol
_atom_site_fract_x
_atom_site_fract_y
_atom_site_fract_z
_atom_site_occupancy
U1 U 0.000 0.000 0.000 1
H1 H 0.000 0.500 0.250 1
Cl1 Cl 0.198 0.769 0.335 1
```

---

No. 13
Calculated XRD peak list
Compound: UH4Cl5
Radiation: Cu Kα
Structure: a crystal structure in Alexandria, relaxed with PBE
Intensities are scaled so that the largest is 100.

Peak list (10 most intense, 10° ≤ 2θ ≤ 80°, low angle first)
two_theta  I (rel.)  index
12.7  100  0 0 1
13.5  52  2 0 -1
18.0  29  2 0 0
18.6  66  1 1 0
18.9  62  1 1 -1
19.2  37  2 0 -2
25.8  25  1 1 1
28.2  32  2 0 1
35.4  21  0 2 1
36.4  19  4 0 0

Structure:
```
data_UH4Cl5
_cell_length_a 13.100
_cell_length_b 5.448
_cell_length_c 9.262
_cell_angle_alpha 90.00
_cell_angle_beta 131.17
_cell_angle_gamma 90.00
_space_group_name_H-M_alt 'C 1 2 1'
_space_group_IT_number 5
loop_
_space_group_symop_operation_xyz
'x,y,z'
'-x,y,-z'
'x+1/2,y+1/2,z'
'-x+1/2,y+1/2,-z'
loop_
_atom_site_label
_atom_site_type_symbol
_atom_site_fract_x
_atom_site_fract_y
_atom_site_fract_z
_atom_site_occupancy
U1 U 0.000 0.000 0.000 1
H1 H 0.127 0.132 0.261 1
H2 H 0.176 0.209 0.752 1
Cl1 Cl 0.000 0.484 0.000 1
Cl2 Cl 0.097 0.963 0.833 1
Cl3 Cl 0.215 0.364 0.686 1
```